(1)
This entry pairs a crystal structure of Tb7Y3Th2 with its computed powder diffractogram. Radiation: Cu Kα. Structure: a cell relaxed with PBE.
Intensities are scaled so that the largest is 100.

Crystal structure
```
12
Lattice="3.601 0.000 0.000 -0.001 6.227 0.000 -1.796 -0.983 17.297" Properties=species:S:1:pos:R:3 pbc="T T T"
Tb 0.000 0.000 0.000
Tb 0.003 4.138 2.873
Tb 0.002 4.135 8.637
Tb 0.001 4.192 14.410
Tb 1.803 1.052 2.887
Tb 1.802 1.109 8.661
Tb 1.801 1.106 14.424
Y 0.002 -0.017 5.763
Y 1.800 3.114 0.000
Y 1.802 5.261 11.534
Th 0.002 2.090 11.561
Th 1.802 3.153 5.737
```

Peak list (10 most intense, 10° ≤ 2θ ≤ 90°, in order of falling intensity)
| 2θ (°) | I (rel.) |
| --- | --- |
| 31.86 | 100.0 |
| 33.55 | 89.5 |
| 31.02 | 51.4 |
| 28.86 | 36.2 |
| 60.63 | 30.6 |
| 50.77 | 25.9 |
| 29.48 | 20.1 |
| 61.18 | 15.5 |
| 60.78 | 15.1 |
| 54.56 | 14.7 |



(2)
This entry pairs a crystal structure of Dy2SnGe2Rh5 with its computed powder diffractogram. Radiation: Cu Kα. Structure: a cell relaxed with PBE.
Intensities are scaled so that the largest is 100.

Crystal structure
```
20
Lattice="9.782 0.000 0.000 0.000 9.782 0.000 0.000 0.000 3.656" Properties=species:S:1:pos:R:3 pbc="T T T"
Dy 1.712 3.179 0.000
Dy 3.179 8.070 0.000
Dy 6.603 1.712 0.000
Dy 8.070 6.603 0.000
Sn 0.000 0.000 0.000
Sn 4.891 4.891 0.000
Ge 1.199 6.090 0.000
Ge 3.692 1.199 0.000
Ge 6.090 8.583 0.000
Ge 8.583 3.692 0.000
Rh 0.000 4.891 1.828
Rh 0.675 7.712 1.828
Rh 2.070 0.675 1.828
Rh 2.821 5.566 1.828
Rh 4.216 2.821 1.828
Rh 4.891 0.000 1.828
Rh 5.566 6.961 1.828
Rh 6.961 4.216 1.828
Rh 7.712 9.107 1.828
Rh 9.107 2.070 1.828
```

Peak list (10 most intense, 10° ≤ 2θ ≤ 90°, in order of falling intensity)
| 2θ (°) | I (rel.) |
| --- | --- |
| 38.11 | 100.0 |
| 37.92 | 49.9 |
| 41.44 | 34.2 |
| 31.90 | 30.2 |
| 35.74 | 26.2 |
| 49.89 | 23.2 |
| 64.33 | 20.9 |
| 41.27 | 19.5 |
| 39.07 | 14.4 |
| 66.31 | 12.0 |



(3)
This entry pairs a crystal structure of Te4Pd5Pt with its computed powder diffractogram. Radiation: Cu Kα. Structure: a cell relaxed with PBE.
Intensities are scaled so that the largest is 100.

Crystal structure
```
10
Lattice="7.931 -1.846 0.000 7.931 1.846 0.000 -2.790 0.000 6.851" Properties=species:S:1:pos:R:3 pbc="T T T"
Te 0.320 0.000 2.288
Te 4.823 0.000 1.370
Te 8.248 0.000 5.481
Te 12.751 0.000 4.564
Pd 2.182 0.000 0.382
Pd 2.119 0.000 4.366
Pd 7.931 0.000 0.000
Pd 10.952 0.000 2.485
Pd 10.890 0.000 6.469
Pt 6.536 0.000 3.426
```

Peak list (10 most intense, 10° ≤ 2θ ≤ 90°, in order of falling intensity)
| 2θ (°) | I (rel.) |
| --- | --- |
| 35.37 | 100.0 |
| 31.69 | 36.3 |
| 49.36 | 27.8 |
| 49.94 | 27.6 |
| 37.98 | 23.7 |
| 30.16 | 23.3 |
| 39.18 | 23.1 |
| 35.79 | 19.6 |
| 47.15 | 19.2 |
| 42.76 | 18.0 |